Theoretical X-ray powder pattern
Compound: Sm2DyAl7Cu2
Radiation: Cu Kα
Structure: a structure optimized by DFT (GGA-PBE)
Kinematic intensities with the Lorentz-polarization factor, no thermal factor.

Structural model:
a = 9.103 Å, b = 9.103 Å, c = 9.103 Å
α = 35.32°, β = 35.32°, γ = 35.32°
Fractional coordinates of all 12 atoms:
Sm (0.142, 0.142, 0.142)
Sm (0.858, 0.858, 0.858)
Dy (0.000, 0.000, 0.000)
Al (0.072, 0.581, 0.581)
Al (0.419, 0.419, 0.928)
Al (0.419, 0.928, 0.419)
Al (0.500, 0.500, 0.500)
Al (0.581, 0.072, 0.581)
Al (0.581, 0.581, 0.072)
Al (0.928, 0.419, 0.419)
Cu (0.335, 0.335, 0.335)
Cu (0.665, 0.665, 0.665)

Most intense lines, 2θ from 5° to 70°, by angle:
18.87°, 4.702 Å, intensity 403; 20.84°, 4.263 Å, intensity 304; 30.79°, 2.904 Å, intensity 494; 32.42°, 2.762 Å, intensity 871; 33.72°, 2.658 Å, intensity 332; 37.78°, 2.381 Å, intensity 272; 38.86°, 2.318 Å, intensity 1000; 64.17°, 1.451 Å, intensity 273